1.
The following is a simulated PXRD pattern of Sm7SnS5. It was derived from a PBE-relaxed structure, using Cu Kα (λ = 1.5418 Å).
No peak broadening, texture or thermal motion is included.

Cell and atoms:
```
data_Sm7SnS5
_chemical_formula_sum 'Sm28 Sn4 S20'
_cell_length_a 4.0853
_cell_length_b 13.2196
_cell_length_c 23.9939
_cell_angle_alpha 90.00
_cell_angle_beta 90.00
_cell_angle_gamma 90.00
_symmetry_space_group_name_H-M 'C m c m'
_symmetry_Int_Tables_number 63
_symmetry_space_group_name_Hall '-C 2c 2'
loop_
_atom_site_label
_atom_site_fract_x
_atom_site_fract_y
_atom_site_fract_z
Sm1 0.0000 0.0227 0.2500
Sm2 0.0000 0.1359 0.5364
Sm3 0.0000 0.3236 0.1726
Sm4 0.0000 0.4068 0.6106
Sn1 0.0000 0.3002 0.7500
S1 0.0000 0.0431 0.6403
S2 0.0000 0.2272 0.0699
S3 0.0000 0.5000 0.0000
```

The 12 most intense peaks (10 to 90 degrees two-theta), by angle:
(1 1 4), 2θ 27.25, intensity 65; (0 2 7), 2θ 29.35, intensity 100; (1 1 5), 2θ 29.50, intensity 34; (1 3 2), 2θ 30.76, intensity 98; (1 3 3), 2θ 31.90, intensity 63; (1 1 9), 2θ 40.99, intensity 21; (2 0 0), 2θ 44.34, intensity 54; (1 5 5), 2θ 45.00, intensity 29; (0 6 5), 2θ 45.29, intensity 18; (2 2 7), 2θ 54.06, intensity 42; (1 3 12), 2θ 55.23, intensity 17; (1 9 7), 2θ 73.93, intensity 18

2.
The following is a simulated PXRD pattern of Sm2SnS5. It was derived from a PBE-relaxed structure, using Cu Kα (λ = 1.5418 Å).
No peak broadening, texture or thermal motion is included.

Cell and atoms:
```
data_Sm2SnS5
_chemical_formula_sum 'Sm4 Sn2 S10'
_cell_length_a 7.8401
_cell_length_b 11.4807
_cell_length_c 3.8852
_cell_angle_alpha 90.00
_cell_angle_beta 90.00
_cell_angle_gamma 90.00
_symmetry_space_group_name_H-M 'P b a m'
_symmetry_Int_Tables_number 55
_symmetry_space_group_name_Hall '-P 2 2ab'
loop_
_atom_site_label
_atom_site_fract_x
_atom_site_fract_y
_atom_site_fract_z
Sm1 0.0338 0.1728 0.0000
Sn1 0.0000 0.5000 0.5000
S1 0.0000 0.0000 0.5000
S2 0.1711 0.4067 0.0000
S3 0.1730 0.6950 0.5000
```

The 12 most intense peaks (10 to 90 degrees two-theta), by angle:
(2 0 0), 2θ 22.68, intensity 72; (1 3 0), 2θ 25.91, intensity 100; (1 1 1), 2θ 26.76, intensity 67; (0 2 1), 2θ 27.73, intensity 43; (2 1 1), 2θ 33.40, intensity 32; (1 3 1), 2θ 34.84, intensity 39; (2 2 1), 2θ 36.12, intensity 88; (0 4 1), 2θ 39.02, intensity 30; (3 3 0), 2θ 41.86, intensity 37; (0 0 2), 2θ 46.76, intensity 29; (0 6 0), 2θ 47.46, intensity 53; (1 3 2), 2θ 54.23, intensity 28

3.
The following is a simulated PXRD pattern of SmSnS3. It was derived from a PBE-relaxed structure, using Cu Kα (λ = 1.5418 Å).
No peak broadening, texture or thermal motion is included.

Cell and atoms:
```
data_SmSnS3
_chemical_formula_sum 'Sm6 Sn6 S18'
_cell_length_a 6.9916
_cell_length_b 6.9916
_cell_length_c 18.5104
_cell_angle_alpha 90.00
_cell_angle_beta 90.00
_cell_angle_gamma 120.00
_symmetry_space_group_name_H-M 'R -3'
_symmetry_Int_Tables_number 148
_symmetry_space_group_name_Hall '-R 3'
loop_
_atom_site_label
_atom_site_fract_x
_atom_site_fract_y
_atom_site_fract_z
Sm1 0.0000 0.0000 0.1459
Sn1 0.0000 0.0000 0.3495
S1 0.0054 0.7053 0.2522
```

The 12 most intense peaks (10 to 90 degrees two-theta), by angle:
(0 1 2), 2θ 17.50, intensity 41; (1 0 4), 2θ 24.21, intensity 100; (1 1 0), 2θ 25.48, intensity 96; (1 1 3), 2θ 29.37, intensity 21; (0 2 4), 2θ 35.43, intensity 51; (2 -1 6), 2θ 38.94, intensity 82; (3 -1 4), 2θ 44.15, intensity 51; (3 0 0), 2θ 44.91, intensity 53; (1 0 10), 2θ 51.62, intensity 26; (0 2 10), 2θ 58.45, intensity 29; (2 2 6), 2θ 60.92, intensity 21; (2 1 10), 2θ 64.78, intensity 24